Record 1
Structure and simulated X-ray powder pattern of Ac2Cd5Pt4 (the GGA-PBE geometry in Alexandria; Cu Kα).
Neutral-atom scattering factors, no anomalous dispersion.

Principal peaks in the range 2θ = 15–90°, in order of rising 2θ:
| 2θ/deg | d/Å | I_rel |
| --- | --- | --- |
| 20.1 | 4.427 | 28 |
| 30.9 | 2.890 | 48 |
| 34.2 | 2.624 | 100 |
| 37.3 | 2.412 | 81 |
| 40.8 | 2.213 | 55 |
| 47.5 | 1.915 | 34 |

Crystal structure
abc: 10.2220 9.3103 5.8609
angles: 81.28 64.20 34.52
Element x y z (fractional)
Ac1 0.1418 0.1418 0.8582
Ac2 0.8582 0.8582 0.1418
Cd1 0.0000 0.0000 0.5000
Cd2 0.2500 0.2500 0.2500
Cd3 0.5000 0.5000 0.0000
Cd4 0.5000 0.5000 0.5000
Cd5 0.7500 0.7500 0.7500
Pt1 0.2246 0.5147 0.4853
Pt2 0.4853 0.7754 0.2246
Pt3 0.5147 0.2246 0.7754
Pt4 0.7754 0.4853 0.5147

=====

Record 2
Structure and simulated X-ray powder pattern of Ac3Cd2Pt (the GGA-PBE geometry in Alexandria; Cu Kα).
Neutral-atom scattering factors, no anomalous dispersion.

Principal peaks in the range 2θ = 15–90°, in order of rising 2θ:
| 2θ/deg | d/Å | I_rel |
| --- | --- | --- |
| 26.8 | 3.331 | 49 |
| 30.0 | 2.982 | 100 |
| 30.6 | 2.921 | 43 |
| 30.8 | 2.907 | 99 |
| 43.3 | 2.091 | 63 |
| 43.6 | 2.074 | 37 |

Crystal structure
abc: 5.8155 4.1846 8.9553
angles: 90.00 108.35 90.00
Element x y z (fractional)
Ac1 0.0000 0.0000 0.0000
Ac2 0.3681 0.5000 0.7279
Ac3 0.6319 0.5000 0.2721
Cd1 0.1952 0.0000 0.4001
Cd2 0.8048 0.0000 0.5999
Pt1 0.5000 0.0000 0.0000